Calculated powder diffractogram of Sr3Zn2CrO6 for Cu Ka, from the GGA+U geometry in Alexandria.

Atomic structure:
```
data_Sr3Zn2CrO6
_cell_length_a 5.7857
_cell_length_b 5.7857
_cell_length_c 6.4355
_cell_angle_alpha 90.00
_cell_angle_beta 90.00
_cell_angle_gamma 120.00
_symmetry_space_group_name_H-M 'P -3 m 1'
_symmetry_Int_Tables_number 164
_symmetry_space_group_name_Hall '-P 3 2"'
loop_
_atom_site_label
_atom_site_fract_x
_atom_site_fract_y
_atom_site_fract_z
Sr1 0.0000 0.0000 0.0000
Sr2 0.3333 0.6667 0.6276
Zn1 0.3333 0.6667 0.1737
Cr1 0.0000 0.0000 0.5000
O1 0.1620 0.3240 0.3102
```

Most intense lines, 2θ from 10° to 90°, sorted by position:
- 30.91 deg, rel. 100, (1 1 0)
- 33.09 deg, rel. 77, (0 1 2)
- 45.91 deg, rel. 51, (2 0 2)
- 54.98 deg, rel. 19, (3 0 0)
- 56.37 deg, rel. 33, (1 2 2)
- 60.43 deg, rel. 12, (1 0 4)
- 64.41 deg, rel. 18, (2 2 0)
- 74.35 deg, rel. 14, (3 1 2)
- 77.91 deg, rel. 11, (2 1 4)
- 82.68 deg, rel. 10, (0 4 2)